(1)
Diffraction record for RbTeOF4. The powder X-ray diffraction pattern is simulated, not measured: it uses a cell relaxed with PBE and a wavelength of 1.5418 Å.
Peak positions follow from Bragg's law for the DFT cell and can differ from measured ones.

Crystal structure
```
data_RbTeOF4
_chemical_formula_sum 'Rb4 Te4 O4 F16'
_space_group_name_H-M_alt 'P 1'
_space_group_IT_number 1
_cell_length_a 8.518
_cell_length_b 8.518
_cell_length_c 14.132
_cell_angle_alpha 94.63
_cell_angle_beta 94.63
_cell_angle_gamma 33.07
loop_
_space_group_symop_operation_xyz
'x,y,z'
loop_
_atom_site_label
_atom_site_type_symbol
_atom_site_fract_x
_atom_site_fract_y
_atom_site_fract_z
_atom_site_occupancy
Rb1 Rb 0.085 0.915 0.500 1
Rb2 Rb 0.199 0.395 0.240 1
Rb3 Rb 0.395 0.199 0.740 1
Rb4 Rb 0.915 0.085 0.000 1
Te1 Te 0.531 0.587 0.251 1
Te2 Te 0.587 0.531 0.751 1
Te3 Te 0.708 0.766 0.991 1
Te4 Te 0.766 0.708 0.491 1
O1 O 0.027 0.644 0.019 1
O2 O 0.267 0.655 0.715 1
O3 O 0.644 0.027 0.519 1
O4 O 0.655 0.267 0.215 1
F1 F 0.016 0.350 0.018 1
F2 F 0.117 0.544 0.464 1
F3 F 0.163 0.775 0.277 1
F4 F 0.288 0.948 0.731 1
F5 F 0.350 0.016 0.518 1
F6 F 0.439 0.642 0.108 1
F7 F 0.441 0.655 0.886 1
F8 F 0.544 0.117 0.964 1
F9 F 0.637 0.847 0.354 1
F10 F 0.639 0.867 0.132 1
F11 F 0.642 0.439 0.608 1
F12 F 0.655 0.441 0.386 1
F13 F 0.775 0.163 0.777 1
F14 F 0.847 0.637 0.854 1
F15 F 0.867 0.639 0.632 1
F16 F 0.948 0.288 0.231 1
```

Largest 10 diffraction maxima, in order of rising 2θ, 10 to 80 degrees two-theta:
two_theta, d [Å], Rel. int.
19.10, 4.647, 49
21.85, 4.069, 92
22.67, 3.922, 93
23.19, 3.836, 61
25.30, 3.520, 100
27.09, 3.292, 67
28.38, 3.145, 56
33.15, 2.702, 45
42.77, 2.114, 35
44.85, 2.021, 34

(2)
Diffraction record for Rb2TiOF5. The powder X-ray diffraction pattern is simulated, not measured: it uses a cell relaxed with PBE and a wavelength of 1.5418 Å.
Peak positions follow from Bragg's law for the DFT cell and can differ from measured ones.

Crystal structure
```
data_Rb2TiOF5
_chemical_formula_sum 'Rb4 Ti2 O2 F10'
_space_group_name_H-M_alt 'P 1'
_space_group_IT_number 1
_cell_length_a 6.651
_cell_length_b 6.651
_cell_length_c 8.071
_cell_angle_alpha 90.00
_cell_angle_beta 90.00
_cell_angle_gamma 83.79
loop_
_space_group_symop_operation_xyz
'x,y,z'
loop_
_atom_site_label
_atom_site_type_symbol
_atom_site_fract_x
_atom_site_fract_y
_atom_site_fract_z
_atom_site_occupancy
Rb1 Rb 0.008 0.419 0.250 1
Rb2 Rb 0.419 0.008 0.750 1
Rb3 Rb 0.581 0.992 0.250 1
Rb4 Rb 0.992 0.581 0.750 1
Ti1 Ti 0.500 0.500 0.000 1
Ti2 Ti 0.500 0.500 0.500 1
O1 O 0.022 0.978 0.250 1
O2 O 0.978 0.022 0.750 1
F1 F 0.291 0.709 0.502 1
F2 F 0.291 0.709 0.998 1
F3 F 0.308 0.308 0.000 1
F4 F 0.308 0.308 0.500 1
F5 F 0.497 0.503 0.750 1
F6 F 0.503 0.497 0.250 1
F7 F 0.692 0.692 0.000 1
F8 F 0.692 0.692 0.500 1
F9 F 0.709 0.291 0.002 1
F10 F 0.709 0.291 0.498 1
```

Largest 10 diffraction maxima, in order of rising 2θ, 10 to 80 degrees two-theta:
two_theta, d [Å], Rel. int.
13.39, 6.612, 72
25.86, 3.445, 44
26.97, 3.306, 68
28.54, 3.128, 80
29.19, 3.059, 38
29.92, 2.987, 60
30.95, 2.889, 47
35.09, 2.557, 100
36.29, 2.475, 37
44.92, 2.018, 39

(3)
Diffraction record for RbTiZnOF5. The powder X-ray diffraction pattern is simulated, not measured: it uses a cell relaxed with PBE and a wavelength of 1.5418 Å.
Peak positions follow from Bragg's law for the DFT cell and can differ from measured ones.

Crystal structure
```
data_RbTiZnOF5
_chemical_formula_sum 'Rb2 Ti2 Zn2 O2 F10'
_space_group_name_H-M_alt 'P 1'
_space_group_IT_number 1
_cell_length_a 7.426
_cell_length_b 7.426
_cell_length_c 7.426
_cell_angle_alpha 121.19
_cell_angle_beta 120.90
_cell_angle_gamma 88.20
loop_
_space_group_symop_operation_xyz
'x,y,z'
loop_
_atom_site_label
_atom_site_type_symbol
_atom_site_fract_x
_atom_site_fract_y
_atom_site_fract_z
_atom_site_occupancy
Rb1 Rb 0.375 0.125 0.250 1
Rb2 Rb 0.625 0.875 0.750 1
Ti1 Ti 0.000 0.000 0.500 1
Ti2 Ti 0.000 0.500 0.000 1
Zn1 Zn 0.000 0.500 0.500 1
Zn2 Zn 0.500 0.500 0.000 1
O1 O 0.034 0.784 0.250 1
O2 O 0.966 0.216 0.750 1
F1 F 0.065 0.407 0.225 1
F2 F 0.065 0.840 0.657 1
F3 F 0.318 0.160 0.725 1
F4 F 0.318 0.593 0.157 1
F5 F 0.325 0.575 0.750 1
F6 F 0.675 0.425 0.250 1
F7 F 0.682 0.407 0.843 1
F8 F 0.682 0.840 0.275 1
F9 F 0.935 0.160 0.343 1
F10 F 0.935 0.593 0.775 1
```

Largest 10 diffraction maxima, in order of rising 2θ, 10 to 80 degrees two-theta:
two_theta, d [Å], Rel. int.
14.71, 6.023, 14
23.98, 3.711, 24
27.91, 3.197, 57
28.56, 3.125, 100
29.63, 3.015, 42
45.05, 2.013, 16
45.19, 2.006, 14
49.10, 1.855, 44
50.03, 1.823, 13
67.87, 1.381, 11

(4)
Diffraction record for Rb2U3O10F8. The powder X-ray diffraction pattern is simulated, not measured: it uses a cell relaxed with PBE and a wavelength of 1.5418 Å.
Peak positions follow from Bragg's law for the DFT cell and can differ from measured ones.

Crystal structure
```
data_Rb2U3O10F8
_chemical_formula_sum 'Rb4 U6 O20 F16'
_space_group_name_H-M_alt 'P 1'
_space_group_IT_number 1
_cell_length_a 13.444
_cell_length_b 8.423
_cell_length_c 8.423
_cell_angle_alpha 119.36
_cell_angle_beta 90.00
_cell_angle_gamma 90.00
loop_
_space_group_symop_operation_xyz
'x,y,z'
loop_
_atom_site_label
_atom_site_type_symbol
_atom_site_fract_x
_atom_site_fract_y
_atom_site_fract_z
_atom_site_occupancy
Rb1 Rb 0.250 0.004 0.996 1
Rb2 Rb 0.250 0.310 0.559 1
Rb3 Rb 0.750 0.559 0.310 1
Rb4 Rb 0.750 0.996 0.004 1
U1 U 0.000 0.671 0.671 1
U2 U 0.023 0.859 0.267 1
U3 U 0.477 0.859 0.267 1
U4 U 0.500 0.671 0.671 1
U5 U 0.523 0.267 0.859 1
U6 U 0.977 0.267 0.859 1
O1 O 0.000 0.384 0.384 1
O2 O 0.094 0.273 0.968 1
O3 O 0.128 0.705 0.627 1
O4 O 0.135 0.733 0.251 1
O5 O 0.250 0.002 0.642 1
O6 O 0.250 0.439 0.263 1
O7 O 0.250 0.619 0.965 1
O8 O 0.365 0.733 0.251 1
O9 O 0.372 0.705 0.627 1
O10 O 0.406 0.273 0.968 1
O11 O 0.500 0.384 0.384 1
O12 O 0.594 0.968 0.273 1
O13 O 0.628 0.627 0.705 1
O14 O 0.635 0.251 0.733 1
O15 O 0.750 0.263 0.439 1
O16 O 0.750 0.642 0.002 1
O17 O 0.750 0.965 0.619 1
O18 O 0.865 0.251 0.733 1
O19 O 0.872 0.627 0.705 1
O20 O 0.906 0.968 0.273 1
F1 F 0.047 0.054 0.579 1
F2 F 0.048 0.431 0.712 1
F3 F 0.050 0.806 0.968 1
F4 F 0.117 0.080 0.288 1
F5 F 0.383 0.080 0.288 1
F6 F 0.450 0.806 0.968 1
F7 F 0.452 0.431 0.712 1
F8 F 0.453 0.054 0.579 1
F9 F 0.547 0.579 0.054 1
F10 F 0.548 0.712 0.431 1
F11 F 0.550 0.968 0.806 1
F12 F 0.617 0.288 0.080 1
F13 F 0.883 0.288 0.080 1
F14 F 0.950 0.968 0.806 1
F15 F 0.952 0.712 0.431 1
F16 F 0.953 0.579 0.054 1
```

Largest 10 diffraction maxima, in order of rising 2θ, 10 to 80 degrees two-theta:
two_theta, d [Å], Rel. int.
13.17, 6.722, 86
17.92, 4.949, 32
20.89, 4.252, 28
21.10, 4.211, 42
24.78, 3.593, 43
24.95, 3.569, 100
26.52, 3.361, 32
27.69, 3.221, 42
46.51, 1.953, 20
47.01, 1.933, 25

(5)
Diffraction record for Rb2Zr3OF12. The powder X-ray diffraction pattern is simulated, not measured: it uses a cell relaxed with PBE and a wavelength of 1.5418 Å.
Peak positions follow from Bragg's law for the DFT cell and can differ from measured ones.

Crystal structure
```
data_Rb2Zr3OF12
_chemical_formula_sum 'Rb4 Zr6 O2 F24'
_space_group_name_H-M_alt 'P 1'
_space_group_IT_number 1
_cell_length_a 11.100
_cell_length_b 11.100
_cell_length_c 11.100
_cell_angle_alpha 41.48
_cell_angle_beta 41.48
_cell_angle_gamma 41.48
loop_
_space_group_symop_operation_xyz
'x,y,z'
loop_
_atom_site_label
_atom_site_type_symbol
_atom_site_fract_x
_atom_site_fract_y
_atom_site_fract_z
_atom_site_occupancy
Rb1 Rb 0.000 0.000 0.000 1
Rb2 Rb 0.138 0.138 0.138 1
Rb3 Rb 0.500 0.500 0.500 1
Rb4 Rb 0.862 0.862 0.862 1
Zr1 Zr 0.029 0.576 0.576 1
Zr2 Zr 0.424 0.424 0.971 1
Zr3 Zr 0.424 0.971 0.424 1
Zr4 Zr 0.576 0.029 0.576 1
Zr5 Zr 0.576 0.576 0.029 1
Zr6 Zr 0.971 0.424 0.424 1
O1 O 0.287 0.287 0.287 1
O2 O 0.713 0.713 0.713 1
F1 F 0.000 0.352 0.648 1
F2 F 0.000 0.648 0.352 1
F3 F 0.084 0.648 0.648 1
F4 F 0.090 0.090 0.598 1
F5 F 0.090 0.598 0.090 1
F6 F 0.293 0.293 0.629 1
F7 F 0.293 0.629 0.293 1
F8 F 0.352 0.000 0.648 1
F9 F 0.352 0.352 0.916 1
F10 F 0.352 0.648 0.000 1
F11 F 0.352 0.916 0.352 1
F12 F 0.371 0.707 0.707 1
F13 F 0.402 0.910 0.910 1
F14 F 0.598 0.090 0.090 1
F15 F 0.629 0.293 0.293 1
F16 F 0.648 0.000 0.352 1
F17 F 0.648 0.084 0.648 1
F18 F 0.648 0.352 0.000 1
F19 F 0.648 0.648 0.084 1
F20 F 0.707 0.371 0.707 1
F21 F 0.707 0.707 0.371 1
F22 F 0.910 0.402 0.910 1
F23 F 0.910 0.910 0.402 1
F24 F 0.916 0.352 0.352 1
```

Largest 10 diffraction maxima, in order of rising 2θ, 10 to 80 degrees two-theta:
two_theta, d [Å], Rel. int.
24.30, 3.663, 69
26.35, 3.382, 100
26.85, 3.320, 95
28.75, 3.105, 43
40.75, 2.214, 24
42.43, 2.131, 23
43.71, 2.071, 47
46.19, 1.965, 56
53.97, 1.699, 27
54.25, 1.691, 27

(6)
Diffraction record for ReO2F3. The powder X-ray diffraction pattern is simulated, not measured: it uses a cell relaxed with PBE and a wavelength of 1.5418 Å.
Peak positions follow from Bragg's law for the DFT cell and can differ from measured ones.

Crystal structure
```
data_ReO2F3
_chemical_formula_sum 'Re8 O16 F24'
_space_group_name_H-M_alt 'P 1'
_space_group_IT_number 1
_cell_length_a 7.746
_cell_length_b 7.746
_cell_length_c 13.879
_cell_angle_alpha 90.00
_cell_angle_beta 90.00
_cell_angle_gamma 84.67
loop_
_space_group_symop_operation_xyz
'x,y,z'
loop_
_atom_site_label
_atom_site_type_symbol
_atom_site_fract_x
_atom_site_fract_y
_atom_site_fract_z
_atom_site_occupancy
Re1 Re 0.168 0.832 0.824 1
Re2 Re 0.239 0.239 0.500 1
Re3 Re 0.261 0.261 0.000 1
Re4 Re 0.332 0.668 0.324 1
Re5 Re 0.668 0.332 0.676 1
Re6 Re 0.739 0.739 0.000 1
Re7 Re 0.761 0.761 0.500 1
Re8 Re 0.832 0.168 0.176 1
O1 O 0.076 0.215 0.420 1
O2 O 0.115 0.653 0.763 1
O3 O 0.153 0.615 0.263 1
O4 O 0.215 0.076 0.580 1
O5 O 0.285 0.424 0.080 1
O6 O 0.347 0.885 0.763 1
O7 O 0.385 0.847 0.263 1
O8 O 0.424 0.285 0.920 1
O9 O 0.576 0.715 0.080 1
O10 O 0.615 0.153 0.737 1
O11 O 0.653 0.115 0.237 1
O12 O 0.715 0.576 0.920 1
O13 O 0.785 0.924 0.420 1
O14 O 0.847 0.385 0.737 1
O15 O 0.885 0.347 0.237 1
O16 O 0.924 0.785 0.580 1
F1 F 0.005 0.995 0.768 1
F2 F 0.044 0.187 0.080 1
F3 F 0.079 0.370 0.927 1
F4 F 0.130 0.421 0.573 1
F5 F 0.187 0.044 0.920 1
F6 F 0.215 0.785 0.427 1
F7 F 0.285 0.715 0.927 1
F8 F 0.313 0.456 0.420 1
F9 F 0.370 0.079 0.073 1
F10 F 0.421 0.130 0.427 1
F11 F 0.456 0.313 0.580 1
F12 F 0.495 0.505 0.268 1
F13 F 0.505 0.495 0.732 1
F14 F 0.544 0.687 0.420 1
F15 F 0.579 0.870 0.573 1
F16 F 0.630 0.921 0.927 1
F17 F 0.687 0.544 0.580 1
F18 F 0.715 0.285 0.073 1
F19 F 0.785 0.215 0.573 1
F20 F 0.813 0.956 0.080 1
F21 F 0.870 0.579 0.427 1
F22 F 0.921 0.630 0.073 1
F23 F 0.956 0.813 0.920 1
F24 F 0.995 0.005 0.232 1
```

Largest 10 diffraction maxima, in order of rising 2θ, 10 to 80 degrees two-theta:
two_theta, d [Å], Rel. int.
17.19, 5.159, 57
18.17, 4.883, 29
20.11, 4.416, 100
21.31, 4.170, 55
23.06, 3.856, 49
23.95, 3.715, 29
26.44, 3.371, 21
28.02, 3.185, 20
40.13, 2.247, 20
44.56, 2.034, 17

> Which formula does entry 2 have?

Rb2TiOF5